# Ho4Si3Ni
Theoretical powder diffractogram, Cu Kα X-rays. Input: DFT lattice parameters and positions (PBE).
Kinematic intensities with the Lorentz-polarization factor, no thermal factor.

Cell lengths 5.6630, 3.8914, 7.6470 Å; angles 90.00, 91.03, 90.00 degrees
Space group Pm (No. 6)
Asymmetric unit:
Ho 0.0000 0.0000 0.0000
Ho 0.2430 0.5000 0.3762
Ho 0.4914 0.5000 0.8412
Ho 0.7357 0.0000 0.5055
Si 0.4904 0.0000 0.1373
Si 0.7445 0.5000 0.2153
Si 0.9945 0.5000 0.7167
Ni 0.2332 0.0000 0.6463

Peak list (10 most intense, 2θ = 10–80°, by angle)
hkl 1 1 0, 27.8 deg, d 3.207, I = 56; hkl 1 1 -1, 30.1 deg, d 2.968, I = 61; hkl 1 1 1, 30.3 deg, d 2.947, I = 57; hkl 0 1 2, 32.8 deg, d 2.727, I = 100; hkl 2 0 -1, 33.6 deg, d 2.671, I = 53; hkl 2 0 1, 34.0 deg, d 2.640, I = 55; hkl 1 1 2, 36.8 deg, d 2.445, I = 36; hkl 1 0 -3, 38.5 deg, d 2.340, I = 36; hkl 0 2 0, 46.7 deg, d 1.946, I = 37; hkl 2 1 -3, 53.4 deg, d 1.716, I = 38


# HoSi2Ni
Theoretical powder diffractogram, Cu Kα X-rays. Input: DFT lattice parameters and positions (PBE).
Kinematic intensities with the Lorentz-polarization factor, no thermal factor.

Cell lengths 3.9679, 16.4104, 3.9598 Å; angles 90.00, 90.00, 90.00 degrees
Space group Cmcm (No. 63)
Asymmetric unit:
Ho 0.0000 0.1054 0.2500
Si 0.0000 0.2499 0.7500
Si 0.0000 0.4603 0.2500
Ni 0.0000 0.3228 0.2500

Peak list (10 most intense, 2θ = 10–80°, by angle)
hkl 0 4 0, 21.7 deg, d 4.103, I = 34; hkl 1 1 0, 23.1 deg, d 3.857, I = 22; hkl 0 2 1, 25.0 deg, d 3.566, I = 31; hkl 0 4 1, 31.4 deg, d 2.849, I = 29; hkl 1 1 1, 32.4 deg, d 2.763, I = 74; hkl 1 5 0, 35.5 deg, d 2.529, I = 74; hkl 1 3 1, 36.0 deg, d 2.494, I = 100; hkl 0 6 1, 40.1 deg, d 2.250, I = 33; hkl 2 0 0, 45.8 deg, d 1.982, I = 60; hkl 1 5 2, 59.3 deg, d 1.559, I = 33


# Ho6Si2Ni
Theoretical powder diffractogram, Cu Kα X-rays. Input: DFT lattice parameters and positions (PBE).
Kinematic intensities with the Lorentz-polarization factor, no thermal factor.

Cell lengths 7.7526, 7.7526, 4.1326 Å; angles 90.00, 90.00, 120.00 degrees
Space group P-62m (No. 189)
Asymmetric unit:
Ho 0.0000 0.2511 0.0000
Ho 0.0000 0.5895 0.5000
Si 0.3333 0.6667 0.0000
Ni 0.0000 0.0000 0.5000

Peak list (10 most intense, 2θ = 10–80°, by angle)
hkl 1 1 0, 22.9 deg, d 3.876, I = 16; hkl 1 0 1, 25.3 deg, d 3.519, I = 13; hkl 1 1 1, 31.6 deg, d 2.827, I = 100; hkl 2 0 1, 34.4 deg, d 2.606, I = 60; hkl 2 1 0, 35.4 deg, d 2.538, I = 58; hkl 3 0 0, 40.3 deg, d 2.238, I = 15; hkl 0 0 2, 43.8 deg, d 2.066, I = 20; hkl 3 1 1, 54.0 deg, d 1.698, I = 24; hkl 2 1 2, 57.5 deg, d 1.602, I = 29; hkl 3 2 1, 64.6 deg, d 1.443, I = 24


# Tb2HoSi4Ni4
Theoretical powder diffractogram, Cu Kα X-rays. Input: DFT lattice parameters and positions (PBE).
Kinematic intensities with the Lorentz-polarization factor, no thermal factor.

Cell lengths 4.0523, 6.5474, 13.3505 Å; angles 90.00, 90.00, 90.00 degrees
Space group Immm (No. 71)
Asymmetric unit:
Tb 0.0000 0.0000 0.1292
Ho 0.0000 0.5000 0.0000
Si 0.0000 0.3116 0.5000
Si 0.0000 0.5000 0.2169
Ni 0.0000 0.1955 0.3236

Peak list (10 most intense, 2θ = 10–80°, by angle)
hkl 1 0 1, 22.9 deg, d 3.878, I = 26; hkl 0 1 3, 24.2 deg, d 3.680, I = 33; hkl 1 1 2, 29.2 deg, d 3.062, I = 25; hkl 1 2 1, 35.9 deg, d 2.501, I = 98; hkl 0 1 5, 36.3 deg, d 2.472, I = 35; hkl 1 1 4, 37.5 deg, d 2.397, I = 100; hkl 0 0 6, 40.5 deg, d 2.226, I = 22; hkl 2 0 0, 44.7 deg, d 2.026, I = 35; hkl 0 3 3, 46.3 deg, d 1.959, I = 36; hkl 2 3 3, 66.4 deg, d 1.409, I = 24